[1]
Starting from a crystal structure in Alexandria, relaxed with GGA-PBE, the powder diffraction line list of Hg2Bi2Pd5 was computed for Cu Kα.
Lines closer than 0.1° are merged.

Peak list (12 most intense, 10° ≤ 2θ ≤ 90°, sorted by position)
2θ = 30.74°, d 2.908, intensity 100
2θ = 34.33°, d 2.612, intensity 29
2θ = 35.07°, d 2.559, intensity 60
2θ = 37.20°, d 2.417, intensity 41
2θ = 41.45°, d 2.178, intensity 21
2θ = 41.69°, d 2.166, intensity 28
2θ = 43.19°, d 2.095, intensity 16
2θ = 45.46°, d 1.995, intensity 15
2θ = 49.13°, d 1.855, intensity 22
2θ = 51.68°, d 1.769, intensity 14
2θ = 60.90°, d 1.521, intensity 17
2θ = 84.30°, d 1.149, intensity 13

```
data_Hg2Bi2Pd5
_symmetry_space_group_name_H-M 'I m a 2'
_symmetry_Int_Tables_number 46
_symmetry_space_group_name_Hall 'I 2 -2a'
_cell_length_a 14.139
_cell_length_b 6.809
_cell_length_c 7.757
_cell_angle_alpha 90.00
_cell_angle_beta 90.00
_cell_angle_gamma 90.00
loop_
_atom_site_label
_atom_site_type_symbol
_atom_site_fract_x
_atom_site_fract_y
_atom_site_fract_z
_atom_site_occupancy
Hg1 Hg 0.000 0.000 0.000 1
Hg2 Hg 0.250 0.041 0.998 1
Bi1 Bi 0.130 0.535 0.897 1
Pd1 Pd 0.048 0.680 0.194 1
Pd2 Pd 0.148 0.188 0.713 1
Pd3 Pd 0.250 0.691 0.192 1
```

[2]
Starting from a crystal structure in Alexandria, relaxed with GGA-PBE, the powder diffraction line list of Na2Pm2Ge was computed for Cu Kα.
Lines closer than 0.1° are merged.

Peak list (12 most intense, 10° ≤ 2θ ≤ 90°, sorted by position)
2θ = 22.90°, d 3.883, intensity 90
2θ = 27.66°, d 3.225, intensity 28
2θ = 31.93°, d 2.803, intensity 59
2θ = 32.33°, d 2.769, intensity 100
2θ = 33.28°, d 2.692, intensity 86
2θ = 39.75°, d 2.267, intensity 81
2θ = 45.78°, d 1.982, intensity 37
2θ = 51.79°, d 1.765, intensity 20
2θ = 54.33°, d 1.689, intensity 17
2θ = 57.15°, d 1.612, intensity 47
2θ = 62.21°, d 1.492, intensity 43
2θ = 76.11°, d 1.251, intensity 22

```
data_Na2Pm2Ge
_symmetry_space_group_name_H-M 'I 4/m m m'
_symmetry_Int_Tables_number 139
_symmetry_space_group_name_Hall '-I 4 2'
_cell_length_a 3.964
_cell_length_b 3.964
_cell_length_c 19.351
_cell_angle_alpha 90.00
_cell_angle_beta 90.00
_cell_angle_gamma 90.00
loop_
_atom_site_label
_atom_site_type_symbol
_atom_site_fract_x
_atom_site_fract_y
_atom_site_fract_z
_atom_site_occupancy
Na1 Na 0.000 0.500 0.250 1
Pm1 Pm 0.000 0.000 0.078 1
Ge1 Ge 0.000 0.000 0.500 1
```